The following is a simulated powder XRD pattern of SmCu2Ni2. It was derived from DFT lattice parameters and positions (PBE), using a wavelength of 1.5418 Å.

Cell and atoms:
Cell: 3.872 3.872 10.402 Å, 90.00 90.00 90.00°
Positions (direct):
Sm: 0.250 0.250 0.247
Sm: 0.750 0.750 0.753
Cu: 0.250 0.250 0.865
Cu: 0.250 0.750 0.500
Cu: 0.750 0.250 0.500
Cu: 0.750 0.750 0.135
Ni: 0.250 0.250 0.640
Ni: 0.250 0.750 0.000
Ni: 0.750 0.250 0.000
Ni: 0.750 0.750 0.360

Most intense lines, 2θ from 10° to 90°, in order of rising 2θ:
2theta	d [Å]	I_rel	hkl
32.71	2.738	17	1 1 0
34.73	2.583	62	1 0 3
37.11	2.423	100	1 1 2
46.93	1.936	47	2 0 0
49.75	1.833	34	1 0 5
59.69	1.549	25	2 1 3
63.51	1.465	11	1 1 6
68.55	1.369	14	2 2 0
70.80	1.331	23	2 1 5
80.61	1.192	19	3 1 2